No. 1
Diffraction record for Ta8Zn2C3N3. The PXRD pattern is calculated, not measured: it uses a PBE-relaxed structure and Cu Ka.

Top 10 peaks for 5° ≤ 2θ ≤ 70°, by angle:
2θ/deg, I/Imax
7.34, 22.5
34.13, 39.7
35.16, 21.3
36.56, 45.5
37.31, 41.7
38.30, 69.8
40.33, 100.0
57.22, 22.7
59.47, 46.3
67.90, 18.3

Cell and atoms:
Unit cell a=3.108 b=3.108 c=24.103 alpha=90.00 beta=90.00 gamma=120.00
Positions (direct):
Ta 0.000 0.000 0.159
Ta 0.000 0.000 0.341
Ta 0.000 0.000 0.659
Ta 0.000 0.000 0.841
Ta 0.333 0.667 0.056
Ta 0.333 0.667 0.447
Ta 0.667 0.333 0.553
Ta 0.667 0.333 0.944
Zn 0.333 0.667 0.251
Zn 0.667 0.333 0.749
C 0.000 0.000 0.000
C 0.333 0.667 0.890
C 0.667 0.333 0.110
N 0.000 0.000 0.500
N 0.333 0.667 0.607
N 0.667 0.333 0.393

No. 2
Diffraction record for SmNbN2O. The PXRD pattern is calculated, not measured: it uses a PBE-relaxed structure and Cu Ka.

Top 10 peaks for 5° ≤ 2θ ≤ 70°, by angle:
2θ/deg, I/Imax
30.99, 42.9
31.46, 100.0
31.70, 95.9
31.89, 47.4
33.01, 11.5
44.70, 21.2
45.45, 43.1
55.27, 12.0
56.40, 21.5
56.61, 21.2

Cell and atoms:
Unit cell a=7.980 b=7.989 c=8.112 alpha=88.40 beta=89.94 gamma=89.87
Positions (direct):
Sm 0.000 0.000 0.000
Sm 0.000 0.495 0.506
Sm 0.002 0.017 0.493
Sm 0.498 0.940 0.457
Sm 0.501 0.457 0.437
Sm 0.501 0.952 0.945
Sm 0.505 0.446 0.958
Sm 0.999 0.509 0.991
Nb 0.245 0.720 0.214
Nb 0.247 0.721 0.714
Nb 0.254 0.242 0.714
Nb 0.262 0.228 0.208
Nb 0.737 0.212 0.218
Nb 0.738 0.228 0.709
Nb 0.756 0.738 0.710
Nb 0.766 0.735 0.223
N 0.000 0.661 0.262
N 0.003 0.764 0.674
N 0.198 0.266 0.482
N 0.201 0.476 0.775
N 0.206 0.777 0.982
N 0.299 0.175 0.980
N 0.302 0.477 0.183
N 0.307 0.689 0.483
N 0.498 0.187 0.285
N 0.503 0.292 0.693
N 0.694 0.678 0.484
N 0.701 0.977 0.684
N 0.707 0.187 0.979
N 0.795 0.764 0.984
N 0.802 0.977 0.275
N 0.805 0.274 0.479
O 0.001 0.265 0.160
O 0.007 0.152 0.759
O 0.189 0.978 0.275
O 0.319 0.974 0.688
O 0.497 0.800 0.198
O 0.504 0.690 0.802
O 0.684 0.478 0.187
O 0.814 0.473 0.774

No. 3
Diffraction record for SiNiIr. The PXRD pattern is calculated, not measured: it uses a PBE-relaxed structure and Cu Ka.

Top 10 peaks for 5° ≤ 2θ ≤ 70°, by angle:
2θ/deg, I/Imax
23.17, 58.5
31.64, 45.9
33.00, 82.3
39.59, 30.4
46.37, 100.0
47.37, 47.0
53.37, 13.4
58.09, 32.8
63.39, 16.5
69.23, 14.9

Cell and atoms:
Unit cell a=3.838 b=3.838 c=5.655 alpha=90.00 beta=90.00 gamma=90.00
Positions (direct):
Si 0.000 0.500 0.000
Si 0.500 0.000 0.500
Ni 0.000 0.000 0.250
Ni 0.000 0.000 0.750
Ir 0.500 0.500 0.250
Ir 0.500 0.500 0.750

No. 4
Diffraction record for Pt2SeS3. The PXRD pattern is calculated, not measured: it uses a PBE-relaxed structure and Cu Ka.

Top 10 peaks for 5° ≤ 2θ ≤ 70°, by angle:
2θ/deg, I/Imax
8.62, 100.0
17.28, 10.2
29.81, 10.4
30.66, 5.0
32.31, 10.2
34.27, 5.3
36.87, 10.6
39.65, 5.0
42.92, 8.4
52.36, 7.1

Cell and atoms:
Unit cell a=10.411 b=10.411 c=6.083 alpha=90.04 beta=90.04 gamma=19.32
Positions (direct):
Pt 0.000 0.000 0.000
Pt 0.500 0.500 0.478
Se 0.578 0.578 0.820
S 0.070 0.070 0.324
S 0.439 0.439 0.818
S 0.933 0.933 0.325

No. 5
Diffraction record for ErSiPb. The PXRD pattern is calculated, not measured: it uses a PBE-relaxed structure and Cu Ka.

Top 9 peaks for 5° ≤ 2θ ≤ 70°, by angle:
2θ/deg, I/Imax
22.26, 3.5
25.76, 90.5
36.74, 100.0
43.38, 1.9
45.41, 27.4
52.94, 17.7
58.12, 0.9
59.78, 36.7
66.17, 36.6

Cell and atoms:
Unit cell a=4.892 b=4.892 c=4.892 alpha=60.00 beta=60.00 gamma=60.00
Positions (direct):
Er 0.000 0.000 0.000
Si 0.250 0.250 0.250
Pb 0.500 0.500 0.500

No. 6
Diffraction record for Th2Np. The PXRD pattern is calculated, not measured: it uses a PBE-relaxed structure and Cu Ka.

Top 10 peaks for 5° ≤ 2θ ≤ 70°, by angle:
2θ/deg, I/Imax
12.41, 100.0
20.33, 17.9
24.96, 27.4
31.56, 34.3
35.59, 9.0
41.33, 25.7
43.32, 29.5
48.89, 13.9
52.91, 16.6
69.27, 11.3

Cell and atoms:
Unit cell a=8.738 b=8.738 c=8.738 alpha=60.00 beta=60.00 gamma=60.00
Positions (direct):
Th 0.000 0.000 0.000
Th 0.000 0.000 0.500
Th 0.000 0.500 0.000
Th 0.500 0.000 0.000
Np 0.125 0.125 0.125
Np 0.875 0.875 0.875

No. 7
Diffraction record for Pr2Sm2CCl2F3. The PXRD pattern is calculated, not measured: it uses a PBE-relaxed structure and Cu Ka.

Top 10 peaks for 5° ≤ 2θ ≤ 70°, by angle:
2θ/deg, I/Imax
12.93, 37.9
24.49, 56.7
27.30, 41.4
29.67, 50.9
30.55, 27.6
33.82, 41.6
35.24, 100.0
37.53, 37.4
40.02, 22.6
47.97, 32.3

Cell and atoms:
Unit cell a=7.995 b=7.995 c=6.970 alpha=100.47 beta=100.47 gamma=27.01
Positions (direct):
Pr 0.028 0.028 0.266
Pr 0.972 0.972 0.734
Sm 0.343 0.343 0.363
Sm 0.657 0.657 0.637
C 0.500 0.500 0.500
Cl 0.155 0.155 0.933
Cl 0.845 0.845 0.067
F 0.189 0.189 0.435
F 0.500 0.500 0.000
F 0.811 0.811 0.565

No. 8
Diffraction record for Ta11Fe2Se8. The PXRD pattern is calculated, not measured: it uses a PBE-relaxed structure and Cu Ka.

Top 10 peaks for 5° ≤ 2θ ≤ 70°, by angle:
2θ/deg, I/Imax
8.54, 100.0
11.57, 47.3
32.82, 30.1
34.38, 23.5
35.64, 49.9
37.09, 24.0
37.94, 19.4
38.98, 21.7
40.81, 39.9
53.85, 21.0

Cell and atoms:
Unit cell a=12.172 b=19.676 c=3.405 alpha=90.00 beta=90.00 gamma=90.00
Positions (direct):
Ta 0.000 0.000 0.000
Ta 0.049 0.244 0.000
Ta 0.061 0.116 0.500
Ta 0.155 0.788 0.500
Ta 0.169 0.353 0.500
Ta 0.182 0.947 0.500
Ta 0.318 0.447 0.000
Ta 0.331 0.853 0.000
Ta 0.345 0.288 0.000
Ta 0.439 0.616 0.000
Ta 0.451 0.744 0.500
Ta 0.500 0.500 0.500
Ta 0.549 0.256 0.500
Ta 0.561 0.384 0.000
Ta 0.655 0.712 0.000
Ta 0.669 0.147 0.000
Ta 0.682 0.553 0.000
Ta 0.818 0.053 0.500
Ta 0.831 0.647 0.500
Ta 0.845 0.212 0.500
Ta 0.939 0.884 0.500
Ta 0.951 0.756 0.000
Fe 0.096 0.874 0.000
Fe 0.404 0.374 0.500
Fe 0.596 0.626 0.500
Fe 0.904 0.126 0.000
Se 0.046 0.672 0.500
Se 0.108 0.447 0.000
Se 0.205 0.057 0.000
Se 0.213 0.216 0.500
Se 0.287 0.716 0.000
Se 0.295 0.557 0.500
Se 0.392 0.947 0.500
Se 0.454 0.172 0.000
Se 0.546 0.828 0.000
Se 0.608 0.053 0.500
Se 0.705 0.443 0.500
Se 0.713 0.284 0.000
Se 0.787 0.784 0.500
Se 0.795 0.943 0.000
Se 0.892 0.553 0.000
Se 0.954 0.328 0.500

No. 9
Diffraction record for Dy5Y2Ni2Te2. The PXRD pattern is calculated, not measured: it uses a PBE-relaxed structure and Cu Ka.

Top 10 peaks for 5° ≤ 2θ ≤ 70°, by angle:
2θ/deg, I/Imax
24.86, 21.9
30.01, 28.0
30.26, 48.4
32.83, 77.0
33.92, 100.0
34.40, 85.1
36.47, 19.8
38.30, 21.9
47.09, 29.7
58.60, 35.2

Cell and atoms:
Unit cell a=9.386 b=9.386 c=9.386 alpha=156.27 beta=66.90 gamma=118.48
Positions (direct):
Dy 0.000 0.000 0.000
Dy 0.286 0.418 0.869
Dy 0.304 0.619 0.684
Dy 0.549 0.418 0.131
Dy 0.935 0.619 0.316
Y 0.622 0.268 0.354
Y 0.914 0.268 0.646
Ni 0.167 0.928 0.239
Ni 0.689 0.928 0.761
Te 0.264 0.764 0.500
Te 0.664 0.664 0.000

No. 10
Diffraction record for YFeCuGe2. The PXRD pattern is calculated, not measured: it uses a PBE-relaxed structure and Cu Ka.

Top 10 peaks for 5° ≤ 2θ ≤ 70°, by angle:
2θ/deg, I/Imax
31.27, 18.6
34.32, 85.2
35.94, 100.0
44.81, 72.6
47.60, 31.4
49.80, 32.4
57.63, 37.1
63.34, 15.1
65.23, 22.5
69.21, 23.5

Cell and atoms:
Unit cell a=5.877 b=5.877 c=5.877 alpha=139.73 beta=139.73 gamma=58.26
Positions (direct):
Y 0.000 0.000 0.000
Fe 0.750 0.250 0.500
Cu 0.250 0.750 0.500
Ge 0.377 0.377 0.000
Ge 0.623 0.623 0.000

No. 11
Diffraction record for LaNdNO. The PXRD pattern is calculated, not measured: it uses a PBE-relaxed structure and Cu Ka.

Top 10 peaks for 5° ≤ 2θ ≤ 70°, by angle:
2θ/deg, I/Imax
24.62, 44.0
30.07, 100.0
34.40, 24.3
42.75, 19.6
43.23, 12.6
43.39, 24.9
53.59, 14.1
56.37, 11.3
56.50, 22.3
58.95, 15.7

Cell and atoms:
Unit cell a=5.215 b=4.186 c=7.216 alpha=90.00 beta=90.00 gamma=90.00
Positions (direct):
La 0.250 0.000 0.167
La 0.750 0.000 0.833
Nd 0.250 0.500 0.665
Nd 0.750 0.500 0.335
N 0.250 0.500 0.337
N 0.750 0.500 0.663
O 0.250 0.000 0.820
O 0.750 0.000 0.180

No. 12
Diffraction record for Na4Li3Tb2. The PXRD pattern is calculated, not measured: it uses a PBE-relaxed structure and Cu Ka.

Top 10 peaks for 5° ≤ 2θ ≤ 70°, by angle:
2θ/deg, I/Imax
10.78, 64.3
18.73, 100.0
29.97, 51.7
32.74, 51.4
35.58, 36.2
37.99, 17.1
40.50, 48.1
49.12, 25.3
51.00, 14.8
56.74, 19.7

Cell and atoms:
Unit cell a=9.475 b=9.475 c=3.200 alpha=90.00 beta=90.00 gamma=120.00
Positions (direct):
Na 0.000 0.000 0.000
Na 0.335 0.016 0.000
Na 0.680 0.665 0.000
Na 0.984 0.320 0.000
Li 0.020 0.673 0.500
Li 0.327 0.347 0.500
Li 0.653 0.980 0.500
Tb 0.333 0.667 0.000
Tb 0.667 0.333 0.500